Diffraction record for Be2Sn2Rh. The X-ray diffraction stick pattern is theoretical, not measured: it uses a crystal structure in Alexandria, relaxed with GGA-PBE and Cu Kα (λ = 1.5418 Å).
Peak positions follow from Bragg's law for the DFT cell and can differ from measured ones.

Structure:
Cell lengths 7.1975, 7.1975, 3.2984 Å; angles 90.00, 90.00, 90.00 degrees
Fractional coordinates of all 10 atoms:
Be (0.1089, 0.3911, 0.0000)
Be (0.3911, 0.8911, 0.0000)
Be (0.6089, 0.1089, 0.0000)
Be (0.8911, 0.6089, 0.0000)
Sn (0.1822, 0.6822, 0.5000)
Sn (0.3178, 0.1822, 0.5000)
Sn (0.6822, 0.8178, 0.5000)
Sn (0.8178, 0.3178, 0.5000)
Rh (0.0000, 0.0000, 0.5000)
Rh (0.5000, 0.5000, 0.5000)

Largest 10 diffraction maxima, in order of rising 2θ, 10 to 90 degrees two-theta:
(hkl)  Position (°2θ)  intensity
0 0 1  27.0  100
2 1 0  27.7  83
2 2 0  35.3  40
2 1 1  39.1  82
3 1 0  39.6  55
2 2 1  45.0  40
3 1 1  48.6  56
4 1 0  52.4  29
4 1 1  60.0  38
5 3 1  83.6  30